# RbH2I4
Computed powder diffractogram, Cu Kα (λ = 1.5418 Å). Input: the GGA-PBE geometry in Alexandria.

Structure:
a = 5.183 Å, b = 8.838 Å, c = 13.972 Å
α = 73.23°, β = 79.68°, γ = 73.12°
Space group P1 (No. 1)
One atom of each set of equivalent atoms:
Rb (0.000, 0.000, 0.000) x1
Rb (0.352, 0.506, 0.501) x1
H (0.153, 0.259, 0.271) x1
H (0.618, 0.727, 0.258) x1
H (0.674, 0.768, 0.766) x1
H (0.731, 0.237, 0.763) x1
I (0.055, 0.238, 0.396) x1
I (0.344, 0.227, 0.112) x1
I (0.380, 0.321, 0.871) x1
I (0.528, 0.645, 0.175) x1
I (0.664, 0.742, 0.892) x1
I (0.675, 0.745, 0.606) x1
I (0.779, 0.820, 0.364) x1
I (0.983, 0.161, 0.677) x1

The 10 most intense peaks (10 to 90 degrees two-theta), sorted by position:
hkl 1 0 1, 18.5°, 4.793 Å, rel. 13.7
hkl 0 2 0, 21.7°, 4.093 Å, rel. 20.8
hkl 1 2 1, 23.3°, 3.813 Å, rel. 100.0
hkl 0 1 -3, 25.1°, 3.544 Å, rel. 23.8
hkl 0 0 4, 26.8°, 3.326 Å, rel. 13.8
hkl 1 0 -3, 28.4°, 3.139 Å, rel. 26.5
hkl 1 1 4, 28.6°, 3.120 Å, rel. 25.9
hkl 0 2 4, 30.1°, 2.973 Å, rel. 29.7
hkl 0 3 1, 31.8°, 2.818 Å, rel. 18.6
hkl 2 1 1, 34.6°, 2.591 Å, rel. 13.8